Record 1
For HoTa7O19, the GGA-PBE geometry in Alexandria gives the computed powder XRD pattern in this record (CuKα).

Top 10 peaks for 10 to 80 degrees two-theta, low angle first:
Position (°2θ)  I/Imax  (hkl)
16.33  32  1 0 0
17.68  24  0 0 4
26.65  66  0 0 6
28.84  100  1 1 1
29.88  44  1 1 2
33.73  52  1 1 4
36.38  51  1 1 5
50.45  41  3 0 0
54.29  24  1 1 10
57.96  41  3 0 6

Structural model:
Cell lengths 6.2662, 6.2662, 20.0660 Å; angles 90.00, 90.00, 120.00 degrees
Space group P-6c2 (No. 188)
One atom of each set of equivalent atoms:
Ho 0.0000 0.0000 0.0000
Ta 0.3333 0.0260 0.1554
Ta 0.6667 0.3333 0.0000
O 0.0000 0.0000 0.1313
O 0.0878 0.4213 0.6529
O 0.2920 0.0439 0.2500
O 0.3764 0.0967 0.0556
O 0.6667 0.3333 0.1658

***

Record 2
For SrLiTb, the GGA-PBE geometry in Alexandria gives the computed powder XRD pattern in this record (CuKα).

Top 10 peaks for 10 to 80 degrees two-theta, low angle first:
Position (°2θ)  I/Imax  (hkl)
12.71  28  0 0 2
24.05  75  1 0 1
25.59  29  0 0 4
30.21  100  1 0 3
33.00  45  1 1 0
42.22  31  1 1 4
51.78  37  1 0 7
53.81  17  2 1 1
57.21  33  2 1 3
72.76  16  2 1 7

Structural model:
Cell lengths 3.839, 3.839, 13.927 Å; angles 90.00, 90.00, 90.00 degrees
Space group I4mm (No. 107)
One atom of each set of equivalent atoms:
Sr 0.000 0.000 0.000
Li 0.000 0.000 0.664
Tb 0.000 0.000 0.294